Starting from a PBE-relaxed structure, the powder diffraction line list of NdSm2GdTl2 was simulated for Cu Kα (weighted mean of Kα1 and Kα2).
No peak broadening, texture or thermal motion is included.

a = 5.5095 Å, b = 5.5095 Å, c = 6.8513 Å
α = 90.00°, β = 90.00°, γ = 120.00°
Space group P-6m2 (No. 187)
Unique sites:
Nd (0.0000, 0.0000, 0.0000) [1 per cell]
Sm (0.6667, 0.3333, 0.2593) [2 per cell]
Gd (0.3333, 0.6667, 0.5000) [1 per cell]
Tl (0.0000, 0.0000, 0.5000) [1 per cell]
Tl (0.3333, 0.6667, 0.0000) [1 per cell]

Largest 6 diffraction maxima, low angle first, 10° ≤ 2θ ≤ 90°:
hkl	two_theta	intensity
1 0 2	32.17	86
1 1 0	32.50	100
2 0 2	46.38	31
2 1 2	57.78	33
3 0 0	57.99	19
1 1 4	64.01	28